The following is a theoretical XRD peak list of Pm2Sm2Dy. It was derived from a cell relaxed with GGA-PBE, using λ = 1.5418 Å (Cu Kα).

Largest 10 diffraction maxima, in order of rising 2θ, 2θ from 10° to 90°:
2θ/deg  I/Imax
27.67  19
29.31  32
30.86  53
31.08  100
31.34  25
33.53  23
34.28  30
44.56  19
55.02  20
60.08  17

Structural model:
Cell: 16.480 16.480 16.480 Å, 167.33 159.75 23.96°
Sites, in units of the cell vectors:
Pm: 0.043 0.293 0.750
Pm: 0.442 0.192 0.250
Pm: 0.558 0.808 0.750
Pm: 0.957 0.707 0.250
Sm: 0.131 0.881 0.250
Sm: 0.229 0.979 0.250
Sm: 0.771 0.021 0.750
Sm: 0.869 0.119 0.750
Dy: 0.328 0.578 0.750
Dy: 0.672 0.422 0.250